No. 1
Calculated X-ray powder pattern of SrLiTl2S4 for copper Kα, from a crystal structure in Alexandria, relaxed with GGA-PBE.
No peak broadening, texture or thermal motion is included.

The 6 most intense peaks (10° ≤ 2θ ≤ 90°), low angle first:
- hkl 0 2 0, 16.07°, rel. 54
- hkl 2 0 0, 21.53°, rel. 56
- hkl 0 2 2, 26.98°, rel. 90
- hkl 2 0 2, 30.63°, rel. 100
- hkl 0 4 0, 32.46°, rel. 42
- hkl 2 4 2, 45.23°, rel. 66

Structural model:
```
data_SrLiTl2S4
_chemical_formula_sum 'Sr4 Li4 Tl8 S16'
_symmetry_space_group_name_H-M 'F m m 2'
_symmetry_Int_Tables_number 42
_symmetry_space_group_name_Hall 'F 2 -2'
_cell_length_a 8.2436
_cell_length_b 11.0331
_cell_length_c 8.2669
_cell_angle_alpha 90.00
_cell_angle_beta 90.00
_cell_angle_gamma 90.00
loop_
_atom_site_label
_atom_site_fract_x
_atom_site_fract_y
_atom_site_fract_z
_atom_site_occupancy
Sr1 0.0000 0.0000 0.0000 1
Li1 0.0000 0.0000 0.5333 1
Tl1 0.2500 0.2500 0.2573 1
S1 0.0000 0.2316 0.4956 1
S2 0.2384 0.0000 0.7365 1
```

=====

No. 2
Calculated X-ray powder pattern of Tm4Pb3Au3 for copper Kα, from a crystal structure in Alexandria, relaxed with GGA-PBE.
No peak broadening, texture or thermal motion is included.

The 6 most intense peaks (10° ≤ 2θ ≤ 90°), low angle first:
- hkl 3 2 1, 33.03°, rel. 100
- hkl 4 2 0, 39.72°, rel. 41
- hkl 4 2 2, 43.69°, rel. 13
- hkl 5 2 1, 49.17°, rel. 18
- hkl 6 3 1, 62.02°, rel. 12
- hkl 4 4 4, 63.51°, rel. 11

Structural model:
```
data_Tm4Pb3Au3
_chemical_formula_sum 'Tm16 Pb12 Au12'
_symmetry_space_group_name_H-M 'I -4 3 d'
_symmetry_Int_Tables_number 220
_symmetry_space_group_name_Hall 'I -4bd 2c 3'
_cell_length_a 10.1487
_cell_length_b 10.1487
_cell_length_c 10.1487
_cell_angle_alpha 90.00
_cell_angle_beta 90.00
_cell_angle_gamma 90.00
loop_
_atom_site_label
_atom_site_fract_x
_atom_site_fract_y
_atom_site_fract_z
_atom_site_occupancy
Tm1 0.0925 0.4075 0.5925 1
Pb1 0.0000 0.2500 0.8750 1
Au1 0.0000 0.2500 0.3750 1
```

=====

No. 3
Calculated X-ray powder pattern of In3Sn5 for copper Kα, from a crystal structure in Alexandria, relaxed with GGA-PBE.
No peak broadening, texture or thermal motion is included.

The 6 most intense peaks (10° ≤ 2θ ≤ 90°), low angle first:
- hkl 0 0 4, 32.24°, rel. 30
- hkl 2 2 2, 32.58°, rel. 100
- hkl 0 4 0, 40.18°, rel. 15
- hkl 4 0 0, 40.46°, rel. 11
- hkl 2 2 6, 57.71°, rel. 18
- hkl 4 4 4, 68.24°, rel. 11

Structural model:
```
data_In3Sn5
_chemical_formula_sum 'In12 Sn20'
_symmetry_space_group_name_H-M 'C m c m'
_symmetry_Int_Tables_number 63
_symmetry_space_group_name_Hall '-C 2c 2'
_cell_length_a 8.9170
_cell_length_b 8.9781
_cell_length_c 11.1057
_cell_angle_alpha 90.00
_cell_angle_beta 90.00
_cell_angle_gamma 90.00
loop_
_atom_site_label
_atom_site_fract_x
_atom_site_fract_y
_atom_site_fract_z
_atom_site_occupancy
In1 0.0000 0.0232 0.2500 1
In2 0.2446 0.5000 0.0000 1
Sn1 0.0000 0.2443 0.5017 1
Sn2 0.0000 0.4330 0.2500 1
Sn3 0.2043 0.2745 0.7500 1
```

=====

No. 4
Calculated X-ray powder pattern of AcCeRu for copper Kα, from a crystal structure in Alexandria, relaxed with GGA-PBE.
No peak broadening, texture or thermal motion is included.

The 6 most intense peaks (10° ≤ 2θ ≤ 90°), low angle first:
- hkl 0 2 1, 26.15°, rel. 46
- hkl 1 2 -1, 27.41°, rel. 100
- hkl 0 1 2, 27.77°, rel. 71
- hkl 2 0 0, 29.57°, rel. 62
- hkl 2 0 -2, 30.17°, rel. 55
- hkl 1 2 1, 32.59°, rel. 90

Structural model:
```
data_AcCeRu
_chemical_formula_sum 'Ac4 Ce4 Ru4'
_symmetry_space_group_name_H-M 'P 1 21/c 1'
_symmetry_Int_Tables_number 14
_cell_length_a 6.6080
_cell_length_b 7.7869
_cell_length_c 7.7145
_cell_angle_alpha 90.00
_cell_angle_beta 113.88
_cell_angle_gamma 90.00
loop_
_symmetry_equiv_pos_as_xyz
'x,y,z'
'-x,-y,-z'
'-x,y+1/2,-z+1/2'
'x,-y+1/2,z+1/2'
loop_
_atom_site_label
_atom_site_fract_x
_atom_site_fract_y
_atom_site_fract_z
_atom_site_occupancy
Ac1 0.2110 0.1530 0.4178 1
Ce1 0.2974 0.6390 0.5559 1
Ru1 0.3596 0.6039 0.2425 1
```

=====

No. 5
Calculated X-ray powder pattern of BaYW for copper Kα, from a crystal structure in Alexandria, relaxed with GGA-PBE.
No peak broadening, texture or thermal motion is included.

The 6 most intense peaks (10° ≤ 2θ ≤ 90°), low angle first:
- hkl 0 0 2, 10.88°, rel. 47
- hkl 1 1 3, 31.57°, rel. 100
- hkl 0 2 0, 37.98°, rel. 18
- hkl 2 0 0, 38.60°, rel. 18
- hkl 1 1 5, 38.73°, rel. 29
- hkl 1 3 3, 64.62°, rel. 13

Structural model:
```
data_BaYW
_chemical_formula_sum 'Ba4 Y4 W4'
_symmetry_space_group_name_H-M 'F m m 2'
_symmetry_Int_Tables_number 42
_symmetry_space_group_name_Hall 'F 2 -2'
_cell_length_a 4.6650
_cell_length_b 4.7388
_cell_length_c 16.2613
_cell_angle_alpha 90.00
_cell_angle_beta 90.00
_cell_angle_gamma 90.00
loop_
_atom_site_label
_atom_site_fract_x
_atom_site_fract_y
_atom_site_fract_z
_atom_site_occupancy
Ba1 0.0000 0.0000 0.0000 1
Y1 0.0000 0.0000 0.2712 1
W1 0.0000 0.0000 0.6525 1
```

=====

No. 6
Calculated X-ray powder pattern of CaMnB14 for copper Kα, from a crystal structure in Alexandria, relaxed with GGA-PBE.
No peak broadening, texture or thermal motion is included.

The 6 most intense peaks (10° ≤ 2θ ≤ 90°), low angle first:
- hkl 0 1 1, 13.55°, rel. 57
- hkl 0 2 0, 16.66°, rel. 39
- hkl 0 2 2, 27.31°, rel. 31
- hkl 2 1 1, 33.41°, rel. 62
- hkl 2 3 1, 41.33°, rel. 100
- hkl 0 3 3, 41.46°, rel. 32

Structural model:
```
data_CaMnB14
_chemical_formula_sum 'Ca4 Mn4 B56'
_symmetry_space_group_name_H-M 'I m m a'
_symmetry_Int_Tables_number 74
_symmetry_space_group_name_Hall '-I 2b 2'
_cell_length_a 5.8832
_cell_length_b 10.6439
_cell_length_c 8.2755
_cell_angle_alpha 90.00
_cell_angle_beta 90.00
_cell_angle_gamma 90.00
loop_
_atom_site_label
_atom_site_fract_x
_atom_site_fract_y
_atom_site_fract_z
_atom_site_occupancy
Ca1 0.0000 0.2500 0.1358 1
Mn1 0.2500 0.2500 0.7500 1
B1 0.0000 0.0844 0.6693 1
B2 0.0000 0.1322 0.8720 1
B3 0.0000 0.1659 0.4693 1
B4 0.1591 0.0600 0.3386 1
B5 0.2479 0.0781 0.5460 1
```

=====

No. 7
Calculated X-ray powder pattern of SrCu2Rh3S8 for copper Kα, from a crystal structure in Alexandria, relaxed with GGA-PBE.
No peak broadening, texture or thermal motion is included.

The 6 most intense peaks (10° ≤ 2θ ≤ 90°), low angle first:
- hkl 0 0 3, 14.83°, rel. 38
- hkl 1 0 4, 24.34°, rel. 28
- hkl 0 2 1, 28.64°, rel. 100
- hkl 0 2 4, 34.71°, rel. 38
- hkl 0 2 7, 45.59°, rel. 55
- hkl 2 2 0, 49.90°, rel. 67

Structural model:
```
data_SrCu2Rh3S8
_chemical_formula_sum 'Sr3 Cu6 Rh9 S24'
_symmetry_space_group_name_H-M 'R 3 m'
_symmetry_Int_Tables_number 160
_symmetry_space_group_name_Hall 'R 3 -2"'
_cell_length_a 7.3059
_cell_length_b 7.3059
_cell_length_c 17.9314
_cell_angle_alpha 90.00
_cell_angle_beta 90.00
_cell_angle_gamma 120.00
loop_
_atom_site_label
_atom_site_fract_x
_atom_site_fract_y
_atom_site_fract_z
_atom_site_occupancy
Sr1 0.0000 0.0000 0.0000 1
Cu1 0.0000 0.0000 0.2422 1
Cu2 0.0000 0.0000 0.6193 1
Rh1 0.1672 0.3344 0.4555 1
S1 0.0000 0.0000 0.3852 1
S2 0.0000 0.0000 0.8499 1
S3 0.0666 0.5333 0.3816 1
S4 0.1826 0.3652 0.1994 1
```

=====

No. 8
Calculated X-ray powder pattern of KBa2H6Os for copper Kα, from a crystal structure in Alexandria, relaxed with GGA-PBE.
No peak broadening, texture or thermal motion is included.

The 6 most intense peaks (10° ≤ 2θ ≤ 90°), low angle first:
- hkl 0 0 1, 11.86°, rel. 100
- hkl 1 0 1, 22.06°, rel. 73
- hkl 1 0 2, 30.37°, rel. 95
- hkl 1 1 0, 32.39°, rel. 79
- hkl 1 1 1, 34.61°, rel. 45
- hkl 0 2 2, 44.99°, rel. 33

Structural model:
```
data_KBa2H6Os
_chemical_formula_sum 'K1 Ba2 H6 Os1'
_symmetry_space_group_name_H-M 'P -3 m 1'
_symmetry_Int_Tables_number 164
_symmetry_space_group_name_Hall '-P 3 2"'
_cell_length_a 5.5279
_cell_length_b 5.5279
_cell_length_c 7.4628
_cell_angle_alpha 90.00
_cell_angle_beta 90.00
_cell_angle_gamma 120.00
loop_
_atom_site_label
_atom_site_fract_x
_atom_site_fract_y
_atom_site_fract_z
_atom_site_occupancy
K1 0.0000 0.0000 0.0000 1
Ba1 0.3333 0.6667 0.3402 1
H1 0.1475 0.2949 0.6365 1
Os1 0.0000 0.0000 0.5000 1
```

=====

No. 9
Calculated X-ray powder pattern of Tl3Cr2NiS6 for copper Kα, from a crystal structure in Alexandria, relaxed with GGA-PBE.
No peak broadening, texture or thermal motion is included.

The 6 most intense peaks (10° ≤ 2θ ≤ 90°), low angle first:
- hkl 0 0 1, 11.74°, rel. 39
- hkl 0 0 2, 23.60°, rel. 42
- hkl 1 3 0, 29.39°, rel. 34
- hkl 2 0 0, 30.19°, rel. 51
- hkl 2 0 -2, 33.23°, rel. 100
- hkl 2 0 1, 35.36°, rel. 33

Structural model:
```
data_Tl3Cr2NiS6
_chemical_formula_sum 'Tl6 Cr4 Ni2 S12'
_symmetry_space_group_name_H-M 'C 1 2/m 1'
_symmetry_Int_Tables_number 12
_cell_length_a 6.1409
_cell_length_b 10.6140
_cell_length_c 7.8081
_cell_angle_alpha 90.00
_cell_angle_beta 105.10
_cell_angle_gamma 90.00
loop_
_symmetry_equiv_pos_as_xyz
'x,y,z'
'-x,-y,-z'
'-x,y,-z'
'x,-y,z'
'x+1/2,y+1/2,z'
'-x+1/2,-y+1/2,-z'
'-x+1/2,y+1/2,-z'
'x+1/2,-y+1/2,z'
loop_
_atom_site_label
_atom_site_fract_x
_atom_site_fract_y
_atom_site_fract_z
_atom_site_occupancy
Tl1 0.0000 0.0000 0.0000 1
Tl2 0.0000 0.3328 0.0000 1
Cr1 0.0000 0.1672 0.5000 1
Ni1 0.0000 0.5000 0.5000 1
S1 0.2159 0.3385 0.6631 1
S2 0.2308 0.0000 0.6647 1
```

=====

No. 10
Calculated X-ray powder pattern of HoZnPtO4 for copper Kα, from a crystal structure in Alexandria, relaxed with GGA-PBE.
No peak broadening, texture or thermal motion is included.

The 6 most intense peaks (10° ≤ 2θ ≤ 90°), low angle first:
- hkl 0 1 1, 16.57°, rel. 100
- hkl 1 2 1, 31.99°, rel. 86
- hkl 2 1 1, 32.90°, rel. 92
- hkl 0 2 2, 33.51°, rel. 71
- hkl 2 0 2, 34.66°, rel. 68
- hkl 2 2 4, 57.38°, rel. 81

Structural model:
```
data_HoZnPtO4
_chemical_formula_sum 'Ho4 Zn4 Pt4 O16'
_symmetry_space_group_name_H-M 'I m m a'
_symmetry_Int_Tables_number 74
_symmetry_space_group_name_Hall '-I 2b 2'
_cell_length_a 6.3250
_cell_length_b 6.6500
_cell_length_c 9.0029
_cell_angle_alpha 90.00
_cell_angle_beta 90.00
_cell_angle_gamma 90.00
loop_
_atom_site_label
_atom_site_fract_x
_atom_site_fract_y
_atom_site_fract_z
_atom_site_occupancy
Ho1 0.0000 0.0000 0.0000 1
Zn1 0.0000 0.2500 0.3798 1
Pt1 0.2500 0.2500 0.7500 1
O1 0.0000 0.0431 0.7448 1
O2 0.2317 0.2500 0.0253 1
```

=====

No. 11
Calculated X-ray powder pattern of RbSrHg for copper Kα, from a crystal structure in Alexandria, relaxed with GGA-PBE.
No peak broadening, texture or thermal motion is included.

The 6 most intense peaks (10° ≤ 2θ ≤ 90°), low angle first:
- hkl 0 0 4, 10.12°, rel. 60
- hkl 1 0 0, 22.98°, rel. 39
- hkl 1 0 6, 27.67°, rel. 100
- hkl 0 1 10, 34.57°, rel. 21
- hkl 1 1 0, 40.37°, rel. 37
- hkl 0 2 6, 49.64°, rel. 20

Structural model:
```
data_RbSrHg
_chemical_formula_sum 'Rb4 Sr4 Hg4'
_symmetry_space_group_name_H-M 'P -3 m 1'
_symmetry_Int_Tables_number 164
_symmetry_space_group_name_Hall '-P 3 2"'
_cell_length_a 4.4687
_cell_length_b 4.4687
_cell_length_c 34.9650
_cell_angle_alpha 90.00
_cell_angle_beta 90.00
_cell_angle_gamma 120.00
loop_
_atom_site_label
_atom_site_fract_x
_atom_site_fract_y
_atom_site_fract_z
_atom_site_occupancy
Rb1 0.3333 0.6667 0.2869 1
Rb2 0.3333 0.6667 0.4393 1
Sr1 0.3333 0.6667 0.8270 1
Sr2 0.3333 0.6667 0.9491 1
Hg1 0.3333 0.6667 0.1126 1
Hg2 0.3333 0.6667 0.6372 1
```

=====

No. 12
Calculated X-ray powder pattern of DyAl5Zn7 for copper Kα, from a crystal structure in Alexandria, relaxed with GGA-PBE.
No peak broadening, texture or thermal motion is included.

The 6 most intense peaks (10° ≤ 2θ ≤ 90°), low angle first:
- hkl 2 0 0, 32.30°, rel. 60
- hkl 1 3 0, 34.05°, rel. 55
- hkl 1 0 3, 34.66°, rel. 37
- hkl 2 0 2, 38.41°, rel. 40
- hkl 1 3 2, 39.92°, rel. 72
- hkl 0 4 0, 40.21°, rel. 100

Structural model:
```
data_DyAl5Zn7
_chemical_formula_sum 'Dy2 Al10 Zn14'
_symmetry_space_group_name_H-M 'I m m 2'
_symmetry_Int_Tables_number 44
_cell_length_a 5.5435
_cell_length_b 8.9774
_cell_length_c 8.7801
_cell_angle_alpha 90.00
_cell_angle_beta 90.00
_cell_angle_gamma 90.00
loop_
_symmetry_equiv_pos_as_xyz
'x,y,z'
'-x,-y,z'
'-x,y,z'
'x,-y,z'
'x+1/2,y+1/2,z+1/2'
'-x+1/2,-y+1/2,z+1/2'
'-x+1/2,y+1/2,z+1/2'
'x+1/2,-y+1/2,z+1/2'
loop_
_atom_site_label
_atom_site_fract_x
_atom_site_fract_y
_atom_site_fract_z
_atom_site_occupancy
Dy1 0.0000 0.0000 0.0000 1
Al1 0.0000 0.5000 0.7151 1
Al2 0.2486 0.2541 0.2459 1
Zn1 0.0000 0.0000 0.3488 1
Zn2 0.0000 0.0000 0.6437 1
Zn3 0.0000 0.2841 0.4971 1
Zn4 0.0000 0.3541 0.9944 1
Zn5 0.0000 0.5000 0.2836 1
```